No. 1
This entry pairs a crystal structure of Nd2GdNi2C2N3 with its calculated powder XRD pattern. Radiation: copper Kα. Structure: the GGA-PBE geometry in OQMD.
Kinematic intensities with the Lorentz-polarization factor, no thermal factor.

Cell and atoms:
a b c (Å): 10.2183 10.2183 10.2183
angles (deg): 159.90 159.90 28.58
Fractional positions:
1 Nd 0.1275 0.1275 0.0000
2 Nd 0.8725 0.8725 0.0000
3 Gd 0.5000 0.5000 0.0000
4 Ni 0.2500 0.7500 0.5000
5 Ni 0.7500 0.2500 0.5000
6 C 0.3089 0.3089 0.0000
7 C 0.6911 0.6911 0.0000
8 N 0.0000 0.0000 0.0000
9 N 0.3791 0.3791 0.0000
10 N 0.6209 0.6209 0.0000

Peak list (10 most intense, 2θ = 15–90°, low angle first)
28.44°, I 100; 33.82°, I 69; 35.60°, I 39; 36.29°, I 47; 36.77°, I 39; 40.12°, I 30; 45.25°, I 31; 51.22°, I 39; 59.63°, I 27; 64.38°, I 34

No. 2
This entry pairs a crystal structure of GdYNi2C2N2 with its calculated powder XRD pattern. Radiation: copper Kα. Structure: the GGA-PBE geometry in OQMD.
Kinematic intensities with the Lorentz-polarization factor, no thermal factor.

Cell and atoms:
a b c (Å): 3.4770 3.4770 7.3488
angles (deg): 90.00 90.00 90.00
Fractional positions:
1 Gd 0.0000 0.0000 0.0000
2 Y 0.5000 0.5000 0.6531
3 Ni 0.0000 0.5000 0.3264
4 Ni 0.5000 0.0000 0.3264
5 C 0.0000 0.0000 0.4849
6 C 0.5000 0.5000 0.1649
7 N 0.0000 0.0000 0.6755
8 N 0.5000 0.5000 0.9741

Peak list (10 most intense, 2θ = 15–90°, low angle first)
28.40°, I 100; 35.55°, I 69; 36.69°, I 58; 38.62°, I 91; 44.33°, I 79; 52.65°, I 48; 56.67°, I 24; 60.90°, I 26; 65.14°, I 24; 65.88°, I 39

No. 3
This entry pairs a crystal structure of Gd2Si4CN6 with its calculated powder XRD pattern. Radiation: copper Kα. Structure: the GGA-PBE geometry in OQMD.
Kinematic intensities with the Lorentz-polarization factor, no thermal factor.

Cell and atoms:
a b c (Å): 5.9577 9.9333 11.9358
angles (deg): 90.00 119.54 90.00
Fractional positions:
1 Gd 0.1622 0.0856 0.4209
2 Gd 0.1622 0.4144 0.9209
3 Gd 0.1661 0.0613 0.9023
4 Gd 0.1661 0.4387 0.4023
5 Gd 0.8339 0.5613 0.5977
6 Gd 0.8339 0.9387 0.0977
7 Gd 0.8378 0.5856 0.0791
8 Gd 0.8378 0.9144 0.5791
9 Si 0.1783 0.2299 0.6597
10 Si 0.1783 0.2701 0.1597
11 Si 0.2989 0.7075 0.8239
12 Si 0.2989 0.7925 0.3239
13 Si 0.3333 0.7126 0.5796
14 Si 0.3333 0.7874 0.0796
15 Si 0.4933 0.5192 0.2498
16 Si 0.4933 0.9808 0.7498
17 Si 0.5067 0.0192 0.2502
18 Si 0.5067 0.4808 0.7502
19 Si 0.6667 0.2126 0.9204
20 Si 0.6667 0.2874 0.4204
21 Si 0.7011 0.2075 0.6761
22 Si 0.7011 0.2925 0.1761
23 Si 0.8217 0.7299 0.8403
24 Si 0.8217 0.7701 0.3403
25 C 0.4748 0.7071 0.2467
26 C 0.4748 0.7929 0.7467
27 C 0.5252 0.2071 0.2533
28 C 0.5252 0.2929 0.7533
29 N 0.0068 0.2075 0.0022
30 N 0.0068 0.2925 0.5022
31 N 0.0174 0.2343 0.2451
32 N 0.0174 0.2657 0.7451
33 N 0.2000 0.0556 0.6389
34 N 0.2000 0.4444 0.1389
35 N 0.2643 0.5370 0.7798
36 N 0.2643 0.9630 0.2798
37 N 0.4394 0.5450 0.6011
38 N 0.4394 0.9550 0.1011
39 N 0.4544 0.7128 0.9898
40 N 0.4544 0.7872 0.4898
41 N 0.5456 0.2128 0.5102
42 N 0.5456 0.2872 0.0102
43 N 0.5606 0.0450 0.8989
44 N 0.5606 0.4550 0.3989
45 N 0.7357 0.0370 0.7202
46 N 0.7357 0.4630 0.2202
47 N 0.8000 0.5556 0.8611
48 N 0.8000 0.9444 0.3611
49 N 0.9826 0.7343 0.2549
50 N 0.9826 0.7657 0.7549
51 N 0.9932 0.7075 0.4978
52 N 0.9932 0.7925 0.9978

Peak list (10 most intense, 2θ = 15–90°, low angle first)
17.10°, I 19; 19.30°, I 24; 29.76°, I 22; 29.97°, I 43; 32.09°, I 100; 34.91°, I 21; 35.11°, I 34; 35.78°, I 25; 44.37°, I 15; 54.51°, I 15

No. 4
This entry pairs a crystal structure of Gd4Ni13C4 with its calculated powder XRD pattern. Radiation: copper Kα. Structure: the GGA-PBE geometry in OQMD.
Kinematic intensities with the Lorentz-polarization factor, no thermal factor.

Cell and atoms:
a b c (Å): 8.4356 8.4356 3.8889
angles (deg): 90.00 90.00 91.18
Fractional positions:
1 Gd 0.1873 0.8127 0.0000
2 Gd 0.3486 0.3486 0.0000
3 Gd 0.6514 0.6514 0.0000
4 Gd 0.8127 0.1873 0.0000
5 Ni 0.0000 0.0000 0.5000
6 Ni 0.0000 0.5000 0.0000
7 Ni 0.0746 0.2910 0.5000
8 Ni 0.1238 0.1238 0.0000
9 Ni 0.2156 0.5692 0.5000
10 Ni 0.2910 0.0746 0.5000
11 Ni 0.4308 0.7844 0.5000
12 Ni 0.5000 0.0000 0.0000
13 Ni 0.5692 0.2156 0.5000
14 Ni 0.7090 0.9254 0.5000
15 Ni 0.7844 0.4308 0.5000
16 Ni 0.8762 0.8762 0.0000
17 Ni 0.9254 0.7090 0.5000
18 C 0.0000 0.5000 0.5000
19 C 0.4433 0.5567 0.5000
20 C 0.5000 0.0000 0.5000
21 C 0.5567 0.4433 0.5000

Peak list (10 most intense, 2θ = 15–90°, low angle first)
32.94°, I 74; 33.23°, I 38; 33.82°, I 28; 37.77°, I 47; 40.86°, I 22; 41.22°, I 100; 44.06°, I 38; 44.51°, I 22; 46.72°, I 46; 66.15°, I 22